Computed X-ray diffraction stick pattern of TeMoPbO6 for Cu Kα, from DFT lattice parameters and positions (GGA+U).
No peak broadening, texture or thermal motion is included.

The 6 most intense peaks (10° ≤ 2θ ≤ 80°), in order of falling intensity:
2θ = 25.1°, intensity 100, hkl 0 1 1
2θ = 31.6°, intensity 42, hkl 1 1 0
2θ = 47.7°, intensity 31, hkl 2 -1 2
2θ = 40.7°, intensity 29, hkl 2 0 1
2θ = 52.4°, intensity 27, hkl 3 -2 1
2θ = 56.3°, intensity 11, hkl 3 0 0

Crystal structure
```
TeMoPbO6
1.0
5.6642 0.0000 0.0000
-2.8321 4.9054 0.0000
0.0000 0.0000 5.1552
Te Mo Pb O
1 1 1 6
Cartesian
0.0000 0.0000 0.0000
2.8321 1.6351 4.7117
0.0000 3.2703 2.1815
1.6038 0.4922 0.9748
1.2572 1.9791 3.8908
3.3216 0.0992 3.8908
2.4565 3.2703 0.9748
4.4361 1.1428 0.9748
3.9175 2.8270 3.8908
```